Entry 1:
Simulated X-ray diffraction stick pattern of KHgBC4N4 for λ = 1.5418 Å (Cu Kα), from a GGA-PBE-relaxed structure.
Intensities are scaled so that the largest is 100.

Principal peaks in the range 10° ≤ 2θ ≤ 90°, most intense first:
2theta	Rel. int.
11.25	100.0
25.21	53.0
13.57	38.5
24.86	35.7
14.63	33.8
29.44	33.5
18.49	30.7
21.90	29.4
32.57	28.5
30.15	24.6
43.57	21.2
34.74	18.4

Crystal structure
```
data_KHgBC4N4
_chemical_formula_sum 'K4 Hg4 B4 C16 N16'
_cell_length_a 8.757
_cell_length_b 12.113
_cell_length_c 8.630
_cell_angle_alpha 90.00
_cell_angle_beta 116.13
_cell_angle_gamma 90.00
_symmetry_space_group_name_H-M 'P 1 21/c 1'
_symmetry_Int_Tables_number 14
_symmetry_space_group_name_Hall '-P 2ybc'
loop_
_atom_site_label
_atom_site_fract_x
_atom_site_fract_y
_atom_site_fract_z
K1 0.087 0.139 0.105
Hg1 0.457 0.688 0.553
B1 0.368 0.075 0.747
C1 0.235 0.035 0.808
C2 0.283 0.721 0.838
C3 0.284 0.142 0.576
C4 0.476 0.525 0.235
N1 0.138 0.004 0.858
N2 0.192 0.677 0.709
N3 0.221 0.196 0.452
N4 0.443 0.101 0.265
```

***

Entry 2:
Simulated X-ray diffraction stick pattern of SmHoB2Ir2C2 for λ = 1.5418 Å (Cu Kα), from a GGA-PBE-relaxed structure.
Intensities are scaled so that the largest is 100.

Principal peaks in the range 10° ≤ 2θ ≤ 90°, most intense first:
2theta	Rel. int.
35.72	100.0
41.11	64.9
11.33	55.0
34.44	44.7
26.34	40.1
48.49	37.3
60.83	34.9
33.09	30.7
58.69	27.7
82.11	18.7
85.48	16.3
81.37	15.4

Crystal structure
```
data_SmHoB2Ir2C2
_chemical_formula_sum 'Sm1 Ho1 B2 Ir2 C2'
_cell_length_a 3.754
_cell_length_b 3.754
_cell_length_c 7.812
_cell_angle_alpha 90.00
_cell_angle_beta 90.00
_cell_angle_gamma 90.00
_symmetry_space_group_name_H-M 'P 4 m m'
_symmetry_Int_Tables_number 99
_symmetry_space_group_name_Hall 'P 4 -2'
loop_
_atom_site_label
_atom_site_fract_x
_atom_site_fract_y
_atom_site_fract_z
Sm1 0.000 0.000 0.000
Ho1 0.500 0.500 0.325
B1 0.000 0.000 0.507
B2 0.500 0.500 0.822
Ir1 0.000 0.500 0.663
C1 0.000 0.000 0.314
C2 0.500 0.500 0.017
```

***

Entry 3:
Simulated X-ray diffraction stick pattern of YHoB2Ir2C2 for λ = 1.5418 Å (Cu Kα), from a GGA-PBE-relaxed structure.
Intensities are scaled so that the largest is 100.

Principal peaks in the range 10° ≤ 2θ ≤ 90°, most intense first:
2theta	Rel. int.
35.95	100.0
11.38	81.8
41.36	63.7
34.60	41.0
48.83	34.3
61.22	31.7
59.02	28.0
26.50	27.9
33.28	23.0
22.87	19.6
82.75	18.6
86.15	16.0

Crystal structure
```
data_YHoB2Ir2C2
_chemical_formula_sum 'Y1 Ho1 B2 Ir2 C2'
_cell_length_a 3.730
_cell_length_b 3.730
_cell_length_c 7.777
_cell_angle_alpha 90.00
_cell_angle_beta 90.00
_cell_angle_gamma 90.00
_symmetry_space_group_name_H-M 'P 4 m m'
_symmetry_Int_Tables_number 99
_symmetry_space_group_name_Hall 'P 4 -2'
loop_
_atom_site_label
_atom_site_fract_x
_atom_site_fract_y
_atom_site_fract_z
Y1 0.000 0.000 0.000
Ho1 0.500 0.500 0.321
B1 0.000 0.000 0.501
B2 0.500 0.500 0.820
Ir1 0.000 0.500 0.660
C1 0.000 0.000 0.307
C2 0.500 0.500 0.015
```

***

Entry 4:
Simulated X-ray diffraction stick pattern of Ho2Lu2B3C4 for λ = 1.5418 Å (Cu Kα), from a GGA-PBE-relaxed structure.
Intensities are scaled so that the largest is 100.

Principal peaks in the range 10° ≤ 2θ ≤ 90°, most intense first:
2theta	Rel. int.
30.53	100.0
33.30	84.2
36.73	64.7
31.81	62.0
28.53	60.3
26.63	60.1
35.01	59.1
36.61	46.4
25.92	46.0
37.94	40.7
36.49	40.3
15.13	35.2

Crystal structure
```
data_Ho2Lu2B3C4
_chemical_formula_sum 'Ho2 Lu2 B3 C4'
_cell_length_a 3.453
_cell_length_b 3.549
_cell_length_c 11.814
_cell_angle_alpha 92.76
_cell_angle_beta 96.95
_cell_angle_gamma 90.11
_symmetry_space_group_name_H-M 'P -1'
_symmetry_Int_Tables_number 2
_symmetry_space_group_name_Hall '-P 1'
loop_
_atom_site_label
_atom_site_fract_x
_atom_site_fract_y
_atom_site_fract_z
Ho1 0.196 0.477 0.350
Lu1 0.394 0.052 0.859
B1 0.000 0.500 0.000
B2 0.247 0.006 0.541
C1 0.100 0.440 0.122
C2 0.311 0.026 0.669
```

***

Entry 5:
Simulated X-ray diffraction stick pattern of Ho2Lu2B3C4 for λ = 1.5418 Å (Cu Kα), from a GGA-PBE-relaxed structure.
Intensities are scaled so that the largest is 100.

Principal peaks in the range 10° ≤ 2θ ≤ 90°, most intense first:
2theta	Rel. int.
30.48	100.0
36.64	83.1
33.42	82.7
28.62	62.6
36.79	61.9
34.90	61.7
31.83	59.9
26.61	56.7
25.99	46.6
15.10	35.6
28.04	32.3
37.67	28.6

Crystal structure
```
data_Ho2Lu2B3C4
_chemical_formula_sum 'Ho2 Lu2 B3 C4'
_cell_length_a 3.443
_cell_length_b 3.543
_cell_length_c 11.827
_cell_angle_alpha 92.39
_cell_angle_beta 96.81
_cell_angle_gamma 90.12
_symmetry_space_group_name_H-M 'P -1'
_symmetry_Int_Tables_number 2
_symmetry_space_group_name_Hall '-P 1'
loop_
_atom_site_label
_atom_site_fract_x
_atom_site_fract_y
_atom_site_fract_z
Ho1 0.103 0.452 0.141
Lu1 0.307 0.022 0.650
B1 0.240 0.493 0.460
B2 0.500 0.000 0.000
C1 0.186 0.475 0.332
C2 0.402 0.055 0.877
```

***

Entry 6:
Simulated X-ray diffraction stick pattern of Ho3Ni4B4C3 for λ = 1.5418 Å (Cu Kα), from a GGA-PBE-relaxed structure.
Intensities are scaled so that the largest is 100.

Principal peaks in the range 10° ≤ 2θ ≤ 90°, most intense first:
2theta	Rel. int.
35.36	100.0
27.19	81.8
38.49	57.7
63.90	50.4
41.78	43.2
51.36	33.4
59.07	20.6
86.31	17.5
63.24	15.8
53.56	15.6
35.68	12.5
77.38	10.6

Crystal structure
```
data_Ho3Ni4B4C3
_chemical_formula_sum 'Ho6 Ni8 B8 C6'
_cell_length_a 3.558
_cell_length_b 3.558
_cell_length_c 25.368
_cell_angle_alpha 90.00
_cell_angle_beta 90.00
_cell_angle_gamma 90.00
_symmetry_space_group_name_H-M 'I 4/m m m'
_symmetry_Int_Tables_number 139
_symmetry_space_group_name_Hall '-I 4 2'
loop_
_atom_site_label
_atom_site_fract_x
_atom_site_fract_y
_atom_site_fract_z
Ho1 0.000 0.000 0.000
Ho2 0.000 0.000 0.299
Ni1 0.000 0.500 0.101
B1 0.000 0.000 0.145
B2 0.000 0.000 0.441
C1 0.000 0.000 0.204
C2 0.000 0.000 0.500
```

***

Entry 7:
Simulated X-ray diffraction stick pattern of Tb2HoNi2B2C3 for λ = 1.5418 Å (Cu Kα), from a GGA-PBE-relaxed structure.
Intensities are scaled so that the largest is 100.

Principal peaks in the range 10° ≤ 2θ ≤ 90°, most intense first:
2theta	Rel. int.
28.12	100.0
33.29	86.8
35.34	86.2
50.85	59.7
36.47	40.5
63.44	33.8
39.68	29.8
62.15	29.5
85.50	27.0
59.12	26.9
44.60	21.3
74.76	16.7

Crystal structure
```
data_Tb2HoNi2B2C3
_chemical_formula_sum 'Tb4 Ho2 Ni4 B4 C6'
_cell_length_a 3.591
_cell_length_b 3.591
_cell_length_c 20.326
_cell_angle_alpha 90.00
_cell_angle_beta 90.00
_cell_angle_gamma 90.00
_symmetry_space_group_name_H-M 'I 4/m m m'
_symmetry_Int_Tables_number 139
_symmetry_space_group_name_Hall '-I 4 2'
loop_
_atom_site_label
_atom_site_fract_x
_atom_site_fract_y
_atom_site_fract_z
Tb1 0.000 0.000 0.123
Ho1 0.000 0.000 0.500
Ni1 0.000 0.500 0.250
B1 0.000 0.000 0.304
C1 0.000 0.000 0.000
C2 0.000 0.000 0.377
```

***

Entry 8:
Simulated X-ray diffraction stick pattern of Ho2Tm2B3C4 for λ = 1.5418 Å (Cu Kα), from a GGA-PBE-relaxed structure.
Intensities are scaled so that the largest is 100.

Principal peaks in the range 10° ≤ 2θ ≤ 90°, most intense first:
2theta	Rel. int.
30.45	100.0
33.18	83.2
36.54	64.4
28.40	61.1
31.69	61.1
26.49	59.4
34.86	58.6
36.43	46.0
25.80	45.7
37.78	40.1
36.31	40.1
15.09	33.6

Crystal structure
```
data_Ho2Tm2B3C4
_chemical_formula_sum 'Ho2 Tm2 B3 C4'
_cell_length_a 3.470
_cell_length_b 3.567
_cell_length_c 11.843
_cell_angle_alpha 92.71
_cell_angle_beta 97.00
_cell_angle_gamma 90.12
_symmetry_space_group_name_H-M 'P -1'
_symmetry_Int_Tables_number 2
_symmetry_space_group_name_Hall '-P 1'
loop_
_atom_site_label
_atom_site_fract_x
_atom_site_fract_y
_atom_site_fract_z
Ho1 0.196 0.477 0.350
Tm1 0.395 0.052 0.860
B1 0.000 0.500 0.000
B2 0.247 0.006 0.541
C1 0.099 0.441 0.122
C2 0.311 0.026 0.669
```

***

Entry 9:
Simulated X-ray diffraction stick pattern of Ho2Tm2B3C4 for λ = 1.5418 Å (Cu Kα), from a GGA-PBE-relaxed structure.
Intensities are scaled so that the largest is 100.

Principal peaks in the range 10° ≤ 2θ ≤ 90°, most intense first:
2theta	Rel. int.
36.51	100.0
30.43	92.5
33.22	76.1
28.40	58.1
31.70	56.0
34.85	54.3
26.51	53.6
25.83	42.0
36.34	36.2
15.08	30.6
27.89	28.3
37.42	26.7

Crystal structure
```
data_Ho2Tm2B3C4
_chemical_formula_sum 'Ho2 Tm2 B3 C4'
_cell_length_a 3.469
_cell_length_b 3.562
_cell_length_c 11.851
_cell_angle_alpha 92.63
_cell_angle_beta 97.03
_cell_angle_gamma 90.13
_symmetry_space_group_name_H-M 'P -1'
_symmetry_Int_Tables_number 2
_symmetry_space_group_name_Hall '-P 1'
loop_
_atom_site_label
_atom_site_fract_x
_atom_site_fract_y
_atom_site_fract_z
Ho1 0.105 0.448 0.140
Tm1 0.304 0.022 0.650
B1 0.253 0.494 0.459
B2 0.500 0.000 0.000
C1 0.189 0.474 0.332
C2 0.401 0.059 0.878
```

***

Entry 10:
Simulated X-ray diffraction stick pattern of YHoB4C for λ = 1.5418 Å (Cu Kα), from a GGA-PBE-relaxed structure.
Intensities are scaled so that the largest is 100.

Principal peaks in the range 10° ≤ 2θ ≤ 90°, most intense first:
2theta	Rel. int.
38.97	100.0
30.56	68.5
36.30	54.0
27.17	53.8
23.60	50.0
56.17	27.0
17.92	26.5
50.18	22.4
56.29	21.8
58.23	19.6
68.85	16.3
83.74	15.8

Crystal structure
```
data_YHoB4C
_chemical_formula_sum 'Y2 Ho2 B8 C2'
_cell_length_a 3.268
_cell_length_b 6.563
_cell_length_c 7.539
_cell_angle_alpha 90.00
_cell_angle_beta 90.00
_cell_angle_gamma 90.00
_symmetry_space_group_name_H-M 'I m m 2'
_symmetry_Int_Tables_number 44
_symmetry_space_group_name_Hall 'I 2 -2'
loop_
_atom_site_label
_atom_site_fract_x
_atom_site_fract_y
_atom_site_fract_z
Y1 0.000 0.000 0.000
Ho1 0.000 0.000 0.469
B1 0.000 0.273 0.734
B2 0.000 0.366 0.234
C1 0.000 0.500 0.735
```